[1]
This entry pairs a crystal structure of TlBiPtPb with its computed powder XRD pattern. Radiation: Cu Ka. Structure: DFT lattice parameters and positions (GGA-PBE).
Lines closer than 0.1° are merged.

Structural model:
Unit cell a=7.465 b=4.311 c=7.878 alpha=90.00 beta=108.52 gamma=90.00
Fractional positions:
Tl1 0.000 0.000 0.000
Tl2 0.500 0.500 0.000
Bi1 0.444 0.000 0.336
Bi2 0.944 0.500 0.336
Pt1 0.333 0.500 0.504
Pt2 0.833 0.000 0.504
Pb1 0.228 0.000 0.687
Pb2 0.728 0.500 0.687

Top 10 peaks for 10 to 80 degrees two-theta, in order of rising 2θ:
11.85°, I 204; 25.15°, I 229; 28.74°, I 306; 31.18°, I 1000; 40.25°, I 195; 41.92°, I 604; 53.16°, I 230; 59.02°, I 164; 69.90°, I 207; 76.56°, I 140

[2]
This entry pairs a crystal structure of Pu4Bi12Pb with its computed powder XRD pattern. Radiation: Cu Ka. Structure: DFT lattice parameters and positions (GGA-PBE).
Lines closer than 0.1° are merged.

Structural model:
Unit cell a=8.254 b=8.254 c=9.285 alpha=100.35 beta=100.35 gamma=112.44
Fractional positions:
Pu1 0.000 0.000 0.000
Pu2 0.000 0.500 0.500
Pu3 0.500 0.000 0.500
Pu4 0.500 0.500 0.000
Bi1 0.053 0.303 0.774
Bi2 0.138 0.138 0.420
Bi3 0.197 0.456 0.212
Bi4 0.249 0.751 0.000
Bi5 0.303 0.053 0.774
Bi6 0.456 0.197 0.212
Bi7 0.544 0.803 0.788
Bi8 0.697 0.947 0.226
Bi9 0.751 0.249 0.000
Bi10 0.803 0.544 0.788
Bi11 0.862 0.862 0.580
Bi12 0.947 0.697 0.226
Pb1 0.500 0.500 0.500

Top 10 peaks for 10 to 80 degrees two-theta, in order of rising 2θ:
25.65°, I 398; 30.82°, I 564; 32.79°, I 792; 33.13°, I 1000; 33.28°, I 222; 33.36°, I 248; 39.93°, I 177; 41.09°, I 187; 55.83°, I 233; 56.51°, I 168

[3]
This entry pairs a crystal structure of RbBiPb3 with its computed powder XRD pattern. Radiation: Cu Ka. Structure: DFT lattice parameters and positions (GGA-PBE).
Lines closer than 0.1° are merged.

Structural model:
Unit cell a=7.099 b=7.394 c=7.364 alpha=90.00 beta=90.00 gamma=90.00
Fractional positions:
Rb1 0.000 0.244 0.000
Rb2 0.500 0.756 0.500
Bi1 0.000 0.907 0.641
Bi2 0.500 0.093 0.141
Pb1 0.000 0.604 0.340
Pb2 0.250 0.254 0.489
Pb3 0.250 0.746 0.989
Pb4 0.500 0.396 0.840
Pb5 0.750 0.254 0.489
Pb6 0.750 0.746 0.989

Top 10 peaks for 10 to 80 degrees two-theta, in order of rising 2θ:
17.33°, I 213; 21.13°, I 438; 24.12°, I 293; 27.02°, I 334; 30.46°, I 1000; 34.38°, I 260; 35.08°, I 354; 37.20°, I 295; 38.66°, I 353; 59.15°, I 372

Repeat the second record exactly.
This entry pairs a crystal structure of Pu4Bi12Pb with its computed powder XRD pattern. Radiation: Cu Ka. Structure: DFT lattice parameters and positions (GGA-PBE).
Lines closer than 0.1° are merged.

Structural model:
Unit cell a=8.254 b=8.254 c=9.285 alpha=100.35 beta=100.35 gamma=112.44
Fractional positions:
Pu1 0.000 0.000 0.000
Pu2 0.000 0.500 0.500
Pu3 0.500 0.000 0.500
Pu4 0.500 0.500 0.000
Bi1 0.053 0.303 0.774
Bi2 0.138 0.138 0.420
Bi3 0.197 0.456 0.212
Bi4 0.249 0.751 0.000
Bi5 0.303 0.053 0.774
Bi6 0.456 0.197 0.212
Bi7 0.544 0.803 0.788
Bi8 0.697 0.947 0.226
Bi9 0.751 0.249 0.000
Bi10 0.803 0.544 0.788
Bi11 0.862 0.862 0.580
Bi12 0.947 0.697 0.226
Pb1 0.500 0.500 0.500

Top 10 peaks for 10 to 80 degrees two-theta, in order of rising 2θ:
25.65°, I 398; 30.82°, I 564; 32.79°, I 792; 33.13°, I 1000; 33.28°, I 222; 33.36°, I 248; 39.93°, I 177; 41.09°, I 187; 55.83°, I 233; 56.51°, I 168